Structure and simulated powder X-ray diffraction pattern of Nd3Dy12Th (the PBE geometry in Alexandria; Cu Kα (λ = 1.5418 Å)).
Kinematic intensities with the Lorentz-polarization factor, no thermal factor.

Crystal structure
```
Nd3Dy12Th
1.0
5.0486 0.0000 0.0000
0.0000 5.0486 0.0000
0.0000 0.0000 20.1949
Nd Dy Th
3 12 1
Cartesian
0.0000 0.0000 0.0000 Nd
0.0000 0.0000 5.0733 Nd
0.0000 0.0000 15.1216 Nd
0.0000 2.5243 2.5383 Dy
0.0000 2.5243 7.6320 Dy
0.0000 2.5243 12.5629 Dy
0.0000 2.5243 17.6566 Dy
2.5243 0.0000 2.5383 Dy
2.5243 0.0000 7.6320 Dy
2.5243 0.0000 12.5629 Dy
2.5243 0.0000 17.6566 Dy
2.5243 2.5243 0.0000 Dy
2.5243 2.5243 5.0566 Dy
2.5243 2.5243 10.0975 Dy
2.5243 2.5243 15.1383 Dy
0.0000 0.0000 10.0975 Th
```

The 8 most intense peaks (10 to 90 degrees two-theta), in order of falling intensity:
Position (°2θ)	I_rel
30.67	100
35.56	51
60.85	43
51.18	36
83.46	18
86.14	17
63.87	12
75.29	6

Structure and simulated powder X-ray diffraction pattern of Dy3Sc (the PBE geometry in Alexandria; Cu Kα (λ = 1.5418 Å)).
Kinematic intensities with the Lorentz-polarization factor, no thermal factor.

Crystal structure
```
Dy3Sc
1.0
7.0784 0.0000 0.0000
-3.5392 6.1300 0.0000
0.0000 0.0000 5.5199
Dy Sc
6 2
Cartesian
0.0000 2.0736 1.3800 Dy
-1.7434 5.0932 1.3800 Dy
1.7958 1.0368 4.1400 Dy
1.7434 5.0932 1.3800 Dy
5.2825 1.0368 4.1400 Dy
3.5392 4.0564 4.1400 Dy
0.0000 4.0867 4.1400 Sc
3.5392 2.0433 1.3800 Sc
```

The 12 most intense peaks (10 to 90 degrees two-theta), in order of falling intensity:
Position (°2θ)	I_rel
33.44	100
32.44	24
29.14	24
62.33	22
58.51	20
51.65	19
62.94	16
44.16	15
21.67	15
85.68	14
81.79	8
25.16	6

Structure and simulated powder X-ray diffraction pattern of CeIn2Br5 (the PBE geometry in Alexandria; Cu Kα (λ = 1.5418 Å)).
Kinematic intensities with the Lorentz-polarization factor, no thermal factor.

Crystal structure
```
CeIn2Br5
1.0
13.5524 0.0000 0.0000
0.0000 9.2510 0.0000
0.0000 0.0000 8.6268
Ce In Br
4 8 20
Cartesian
0.0627 2.3128 0.6659 Ce
6.7135 6.9383 4.9793 Ce
6.8388 2.3128 3.6475 Ce
13.4897 6.9383 7.9609 Ce
2.3553 0.0041 4.7091 In
2.3553 4.6214 4.7091 In
4.4209 9.2469 0.3957 In
4.4209 4.6296 0.3957 In
9.1314 0.0041 8.2311 In
9.1314 4.6214 8.2311 In
11.1971 9.2469 3.9177 In
11.1971 4.6296 3.9177 In
0.0814 2.3128 3.6811 Br
1.0608 5.0399 1.4333 Br
1.0608 8.8366 1.4333 Br
2.4909 2.3128 7.5961 Br
2.8108 6.9383 7.2115 Br
3.9654 2.3128 2.8981 Br
4.2853 6.9383 3.2827 Br
5.7154 0.4144 5.7467 Br
5.7154 4.2111 5.7467 Br
6.6948 6.9383 7.9945 Br
6.8576 2.3128 0.6323 Br
7.8370 5.0399 2.8801 Br
7.8370 8.8366 2.8801 Br
9.2670 2.3128 5.3441 Br
9.5870 6.9383 5.7287 Br
10.7416 2.3128 1.4153 Br
11.0615 6.9383 1.0307 Br
12.4916 0.4144 7.1935 Br
12.4916 4.2111 7.1935 Br
13.4710 6.9383 4.9457 Br
```

The 12 most intense peaks (10 to 90 degrees two-theta), in order of falling intensity:
Position (°2θ)	I_rel
29.06	100
31.28	79
29.51	69
39.94	65
38.95	64
28.30	58
32.77	54
35.27	40
22.21	36
45.31	34
31.83	33
22.78	29

Structure and simulated powder X-ray diffraction pattern of RbNp2Cd2O7 (the PBE geometry in Alexandria; Cu Kα (λ = 1.5418 Å)).
Kinematic intensities with the Lorentz-polarization factor, no thermal factor.

Crystal structure
```
RbNp2Cd2O7
1.0
-2.1249 2.2503 10.2182
2.1249 -2.2503 10.2182
2.1249 2.2503 -10.2182
Rb Np Cd O
1 2 2 7
Cartesian
0.0000 0.0000 0.0000 Rb
0.0000 0.0000 8.0663 Np
0.0000 0.0000 12.3702 Np
2.1249 0.0000 4.6597 Cd
0.0000 2.2503 5.5585 Cd
2.1249 0.0000 2.2768 O
0.0000 0.0000 5.7292 O
2.1249 0.0000 8.0695 O
0.0000 0.0000 10.2182 O
0.0000 2.2503 2.1487 O
0.0000 0.0000 14.7073 O
0.0000 2.2503 7.9415 O
```

The 12 most intense peaks (10 to 90 degrees two-theta), in order of falling intensity:
Position (°2θ)	I_rel
29.52	100
30.22	70
21.36	58
33.91	57
24.69	52
20.20	44
40.07	42
52.63	41
42.55	35
45.28	29
26.16	29
53.78	27